For Ce4SmP6, the GGA-PBE geometry in Alexandria gives the computed powder X-ray diffraction pattern in this record (λ = 1.5418 Å (Cu Kα)).

Largest 12 diffraction maxima, most intense first, 5° ≤ 2θ ≤ 70°:
- 2θ 27.6, intensity 100
- 2θ 24.7, intensity 60
- 2θ 31.3, intensity 54
- 2θ 35.3, intensity 46
- 2θ 37.4, intensity 38
- 2θ 48.4, intensity 38
- 2θ 34.0, intensity 35
- 2θ 57.0, intensity 15
- 2θ 54.0, intensity 14
- 2θ 42.8, intensity 12
- 2θ 47.8, intensity 12
- 2θ 35.8, intensity 12

Crystal structure
```
22
Lattice="5.5899 3.2274 4.7185 -5.5899 3.2274 4.7185 0.0000 -6.4547 4.7185" Properties=species:S:1:pos:R:3 pbc="T T T"
Ce -3.4595 0.4627 5.8982
Ce 0.0000 0.0000 3.5389
Ce -2.1305 -2.7646 8.2574
Ce 1.3290 -3.2274 5.8982
Ce -1.3290 3.2274 8.2574
Ce 2.1305 2.7646 5.8982
Ce 0.0000 0.0000 10.6167
Ce 3.4595 -0.4627 8.2574
Sm 0.0000 0.0000 0.0000
Sm 0.0000 0.0000 7.0778
P -4.7198 -1.1849 7.8116
P -1.3338 -4.6799 6.3440
P -1.3338 -1.7748 5.4523
P -3.3860 3.4950 6.3440
P -0.8702 2.0425 5.4523
P -2.2039 0.2677 8.7033
P 2.2039 -0.2677 5.4523
P 0.8702 -2.0425 8.7033
P 3.3860 -3.4950 7.8116
P 1.3338 1.7748 8.7033
P 1.3338 4.6799 7.8116
P 4.7198 1.1849 6.3440
```


For MoPt6Rh8, the GGA-PBE geometry in Alexandria gives the computed powder X-ray diffraction pattern in this record (λ = 1.5418 Å (Cu Kα)).

Largest 12 diffraction maxima, most intense first, 5° ≤ 2θ ≤ 70°:
- 2θ 41.5, intensity 100
- 2θ 37.1, intensity 34
- 2θ 36.4, intensity 20
- 2θ 53.0, intensity 16
- 2θ 44.1, intensity 15
- 2θ 66.9, intensity 15
- 2θ 39.1, intensity 13
- 2θ 69.0, intensity 11
- 2θ 33.3, intensity 9
- 2θ 22.7, intensity 7
- 2θ 52.8, intensity 6
- 2θ 63.6, intensity 4

Crystal structure
```
15
Lattice="7.4038 0.0000 0.0000 -3.7019 6.4119 0.0000 0.0000 0.0000 4.9360" Properties=species:S:1:pos:R:3 pbc="T T T"
Mo 0.0000 0.0000 0.0000
Pt -0.8834 2.9119 0.5819
Pt -0.7384 5.7209 0.5819
Pt 2.1176 2.3876 3.5956
Pt 1.6218 4.1908 0.5819
Pt 4.2773 0.6401 3.5956
Pt 4.7108 3.3842 3.5956
Rh -0.5966 1.6316 3.0558
Rh -1.9906 6.1127 3.0558
Rh 1.2906 1.5838 1.1852
Rh 0.0000 4.2746 3.0050
Rh 3.7019 2.1373 1.1088
Rh 2.5872 5.0794 3.0558
Rh 5.3868 0.3258 1.1852
Rh 4.4282 4.5022 1.1852
```


For Ti2InPd2, the GGA-PBE geometry in Alexandria gives the computed powder X-ray diffraction pattern in this record (λ = 1.5418 Å (Cu Kα)).

Largest 12 diffraction maxima, most intense first, 5° ≤ 2θ ≤ 70°:
- 2θ 39.3, intensity 100
- 2θ 40.0, intensity 62
- 2θ 38.8, intensity 35
- 2θ 56.4, intensity 22
- 2θ 27.4, intensity 11
- 2θ 17.3, intensity 10
- 2θ 58.2, intensity 9
- 2θ 32.1, intensity 4
- 2θ 33.9, intensity 4
- 2θ 35.0, intensity 3
- 2θ 38.5, intensity 3
- 2θ 43.2, intensity 2

Crystal structure
```
10
Lattice="5.2473 0.0000 0.0000 0.0000 4.5826 0.0000 -1.5247 0.0000 7.0221" Properties=species:S:1:pos:R:3 pbc="T T T"
Ti -0.1488 1.1457 2.4236
Ti 0.7598 3.4370 0.3498
Ti 2.9628 1.1457 6.6723
Ti 3.8714 3.4370 4.5985
In 0.2211 1.1457 5.3314
In 3.5015 3.4370 1.6907
Pd 0.9796 3.4370 3.1570
Pd 2.0495 1.1457 1.0879
Pd 1.6731 3.4370 5.9341
Pd 2.7430 1.1457 3.8651
```